Record 1
Computed powder diffractogram of Mg7Hg3 for λ = 1.5418 Å (Cu Kα), from a PBE-relaxed structure.
Peak positions follow from Bragg's law for the DFT cell and can differ from measured ones.

Cell and atoms:
a = 15.689 Å, b = 4.710 Å, c = 6.168 Å
α = 90.00°, β = 108.58°, γ = 90.00°
Space group C2/m (No. 12)
Inequivalent atoms, fractional coordinates:
Mg: 0.000 0.000 0.000
Mg: 0.093 0.500 0.352
Mg: 0.117 0.500 0.874
Mg: 0.201 0.000 0.664
Hg: 0.000 0.000 0.500
Hg: 0.194 0.000 0.177

Top 12 peaks for 2θ = 10–90°, by angle:
hkl 1 1 0, 4.491 Å, I = 52
hkl 2 0 1, 4.016 Å, I = 58
hkl 4 0 -1, 3.719 Å, I = 49
hkl 1 1 1, 3.407 Å, I = 58
hkl 3 1 -1, 3.279 Å, I = 57
hkl 2 0 -2, 3.074 Å, I = 37
hkl 1 1 -2, 2.565 Å, I = 45
hkl 5 1 0, 2.514 Å, I = 100
hkl 0 2 0, 2.355 Å, I = 35
hkl 2 2 1, 2.032 Å, I = 20
hkl 3 1 2, 2.013 Å, I = 23
hkl 7 1 -2, 1.886 Å, I = 20

=====

Record 2
Computed powder diffractogram of DyY8Tm5 for λ = 1.5418 Å (Cu Kα), from a PBE-relaxed structure.
Peak positions follow from Bragg's law for the DFT cell and can differ from measured ones.

Cell and atoms:
a = 9.520 Å, b = 9.520 Å, c = 10.082 Å
α = 90.00°, β = 90.00°, γ = 90.00°
Space group I-4 (No. 82)
Inequivalent atoms, fractional coordinates:
Dy: 0.000 0.000 0.000
Y: 0.071 0.823 0.346
Y: 0.087 0.673 0.003
Tm: 0.000 0.500 0.250
Tm: 0.110 0.710 0.676

Top 12 peaks for 2θ = 10–90°, by angle:
hkl 1 1 2, 4.035 Å, I = 20
hkl 2 1 1, 3.922 Å, I = 37
hkl 1 0 3, 3.169 Å, I = 55
hkl 3 0 1, 3.027 Å, I = 73
hkl 3 1 0, 3.011 Å, I = 78
hkl 2 2 2, 2.799 Å, I = 21
hkl 1 2 3, 2.638 Å, I = 100
hkl 1 3 2, 2.585 Å, I = 41
hkl 2 3 1, 2.554 Å, I = 50
hkl 2 4 0, 2.129 Å, I = 24
hkl 5 0 3, 1.657 Å, I = 20
hkl 3 1 6, 1.467 Å, I = 23

=====

Record 3
Computed powder diffractogram of BiSb for λ = 1.5418 Å (Cu Kα), from a PBE-relaxed structure.
Peak positions follow from Bragg's law for the DFT cell and can differ from measured ones.

Cell and atoms:
a = 4.4901 Å, b = 4.4901 Å, c = 11.8148 Å
α = 90.00°, β = 90.00°, γ = 120.00°
Space group R3m (No. 160, hexagonal axes)
Inequivalent atoms, fractional coordinates:
Bi: 0.0000 0.0000 0.0000
Sb: 0.0000 0.0000 0.5332

Top 12 peaks for 2θ = 10–90°, by angle:
hkl 0 0 3, 3.938 Å, I = 9
hkl 1 0 1, 3.694 Å, I = 11
hkl 0 1 2, 3.248 Å, I = 100
hkl 1 0 4, 2.352 Å, I = 37
hkl 1 1 0, 2.245 Å, I = 38
hkl 0 1 5, 2.019 Å, I = 8
hkl 1 1 3, 1.950 Å, I = 8
hkl 2 0 2, 1.847 Å, I = 20
hkl 0 2 4, 1.624 Å, I = 12
hkl 1 1 6, 1.480 Å, I = 14
hkl 1 2 2, 1.426 Å, I = 18
hkl 2 1 4, 1.316 Å, I = 12

=====

Record 4
Computed powder diffractogram of Ac2PuO4 for λ = 1.5418 Å (Cu Kα), from a PBE-relaxed structure.
Peak positions follow from Bragg's law for the DFT cell and can differ from measured ones.

Cell and atoms:
a = 4.424 Å, b = 4.424 Å, c = 13.450 Å
α = 90.00°, β = 90.00°, γ = 90.00°
Space group I4/mmm (No. 139)
Inequivalent atoms, fractional coordinates:
Ac: 0.000 0.000 0.153
Pu: 0.000 0.000 0.500
O: 0.000 0.000 0.324
O: 0.000 0.500 0.000

Top 12 peaks for 2θ = 10–90°, by angle:
hkl 1 0 3, 3.149 Å, I = 100
hkl 1 1 0, 3.129 Å, I = 57
hkl 0 0 6, 2.242 Å, I = 12
hkl 2 0 0, 2.212 Å, I = 27
hkl 1 1 6, 1.822 Å, I = 21
hkl 2 1 3, 1.810 Å, I = 43
hkl 2 0 6, 1.575 Å, I = 16
hkl 2 2 0, 1.564 Å, I = 9
hkl 3 1 0, 1.400 Å, I = 20
hkl 2 1 9, 1.193 Å, I = 8
hkl 3 1 6, 1.187 Å, I = 11
hkl 3 2 3, 1.184 Å, I = 11